# 1
This entry pairs a crystal structure of NdSmB2Ir2C2 with its computed powder XRD pattern. Radiation: CuKα. Structure: a crystal structure in OQMD, relaxed with PBE.
No peak broadening, texture or thermal motion is included.

Atomic structure:
```
data_NdSmB2Ir2C2
_cell_length_a 3.803
_cell_length_b 3.803
_cell_length_c 7.881
_cell_angle_alpha 90.00
_cell_angle_beta 90.00
_cell_angle_gamma 90.00
_space_group_name_H-M_alt 'P 4 m m'
_space_group_IT_number 99
loop_
_space_group_symop_operation_xyz
'x,y,z'
'-y,x,z'
'-x,-y,z'
'y,-x,z'
'-x,y,z'
'y,x,z'
'x,-y,z'
'-y,-x,z'
loop_
_atom_site_label
_atom_site_type_symbol
_atom_site_fract_x
_atom_site_fract_y
_atom_site_fract_z
Nd1 Nd 0.000 0.000 0.000
Sm1 Sm 0.500 0.500 0.333
B1 B 0.000 0.000 0.514
B2 B 0.500 0.500 0.820
Ir1 Ir 0.000 0.500 0.666
C1 C 0.000 0.000 0.321
C2 C 0.500 0.500 0.014
```

Top 8 peaks for 2θ = 10–90°, by angle:
| 2theta | d/Å | I/Imax |
| --- | --- | --- |
| 11.23 | 7.881 | 67 |
| 26.01 | 3.425 | 38 |
| 32.73 | 2.737 | 27 |
| 34.13 | 2.627 | 45 |
| 35.26 | 2.545 | 100 |
| 40.62 | 2.221 | 70 |
| 47.83 | 1.902 | 38 |
| 60.06 | 1.540 | 35 |

# 2
This entry pairs a crystal structure of LuB2C with its computed powder XRD pattern. Radiation: CuKα. Structure: a crystal structure in OQMD, relaxed with PBE.
No peak broadening, texture or thermal motion is included.

Atomic structure:
```
data_LuB2C
_cell_length_a 6.731
_cell_length_b 6.731
_cell_length_c 7.179
_cell_angle_alpha 90.00
_cell_angle_beta 90.00
_cell_angle_gamma 90.00
_space_group_name_H-M_alt 'P 42/m b c'
_space_group_IT_number 135
_space_group_name_Hall '-P 4c 2ab'
loop_
_atom_site_label
_atom_site_type_symbol
_atom_site_fract_x
_atom_site_fract_y
_atom_site_fract_z
Lu1 Lu 0.191 0.309 0.250
B1 B 0.034 0.847 0.000
B2 B 0.093 0.597 0.000
C1 C 0.040 0.822 0.500
```

Top 8 peaks for 2θ = 10–90°, by angle:
| 2theta | d/Å | I/Imax |
| --- | --- | --- |
| 24.80 | 3.590 | 62 |
| 26.48 | 3.366 | 75 |
| 29.68 | 3.010 | 83 |
| 36.60 | 2.455 | 81 |
| 39.05 | 2.307 | 100 |
| 56.36 | 1.633 | 38 |
| 62.50 | 1.486 | 44 |
| 79.34 | 1.208 | 28 |

# 3
This entry pairs a crystal structure of LuB2C with its computed powder XRD pattern. Radiation: CuKα. Structure: a crystal structure in OQMD, relaxed with PBE.
No peak broadening, texture or thermal motion is included.

Atomic structure:
```
data_LuB2C
_cell_length_a 6.670
_cell_length_b 6.786
_cell_length_c 3.585
_cell_angle_alpha 90.00
_cell_angle_beta 90.00
_cell_angle_gamma 90.00
_space_group_name_H-M_alt 'P b a m'
_space_group_IT_number 55
loop_
_space_group_symop_operation_xyz
'x,y,z'
'-x,-y,-z'
'-x,-y,z'
'x,y,-z'
'x+1/2,-y+1/2,-z'
'-x+1/2,y+1/2,z'
'-x+1/2,y+1/2,-z'
'x+1/2,-y+1/2,z'
loop_
_atom_site_label
_atom_site_type_symbol
_atom_site_fract_x
_atom_site_fract_y
_atom_site_fract_z
Lu1 Lu 0.188 0.193 0.000
B1 B 0.096 0.907 0.500
B2 B 0.153 0.467 0.500
C1 C 0.041 0.678 0.500
```

Top 8 peaks for 2θ = 10–90°, by angle:
| 2theta | d/Å | I/Imax |
| --- | --- | --- |
| 24.84 | 3.585 | 100 |
| 26.27 | 3.393 | 68 |
| 29.54 | 3.024 | 65 |
| 29.85 | 2.993 | 69 |
| 36.46 | 2.464 | 66 |
| 36.81 | 2.442 | 63 |
| 38.97 | 2.311 | 75 |
| 39.21 | 2.298 | 87 |